# 1
Structure and computed PXRD pattern of TmSiPd2 (a crystal structure in the Materials Project, relaxed with GGA-PBE; Cu Kα (λ = 1.5418 Å)).
Intensities are scaled so that the largest is 100.

The 12 most intense peaks (10° ≤ 2θ ≤ 80°), low angle first:
2θ 32.13, I 73, (2 1 1); 2θ 32.76, I 76, (1 2 1); 2θ 34.82, I 50, (1 0 2); 2θ 35.61, I 93, (2 2 0); 2θ 37.20, I 100, (1 1 2); 2θ 39.30, I 41, (2 2 1); 2θ 40.60, I 69, (3 0 1); 2θ 42.14, I 35, (0 3 1); 2θ 44.02, I 38, (1 3 1); 2θ 52.97, I 28, (4 0 1); 2θ 65.01, I 57, (3 3 2); 2θ 79.27, I 27, (5 2 2)

Structure:
```
data_TmSiPd2
_cell_length_a 7.285
_cell_length_b 6.985
_cell_length_c 5.509
_cell_angle_alpha 90.00
_cell_angle_beta 90.00
_cell_angle_gamma 90.00
_space_group_name_H-M_alt 'P n m a'
_space_group_IT_number 62
loop_
_space_group_symop_operation_xyz
'x,y,z'
'-x,-y,-z'
'-x+1/2,-y,z+1/2'
'x+1/2,y,-z+1/2'
'x+1/2,-y+1/2,-z+1/2'
'-x+1/2,y+1/2,z+1/2'
'-x,y+1/2,-z'
'x,-y+1/2,z'
loop_
_atom_site_label
_atom_site_type_symbol
_atom_site_fract_x
_atom_site_fract_y
_atom_site_fract_z
Tm1 Tm 0.028 0.250 0.143
Si1 Si 0.122 0.750 0.357
Pd1 Pd 0.179 0.050 0.594
```

---

# 2
Structure and computed PXRD pattern of Tm3Si6Pd20 (a crystal structure in the Materials Project, relaxed with GGA-PBE; Cu Kα (λ = 1.5418 Å)).
Intensities are scaled so that the largest is 100.

The 12 most intense peaks (10° ≤ 2θ ≤ 80°), low angle first:
2θ 32.62, I 23, (4 2 0); 2θ 35.83, I 38, (4 2 2); 2θ 38.09, I 100, (3 3 3); 2θ 41.61, I 34, (4 4 0); 2θ 43.62, I 22, (5 3 1); 2θ 44.27, I 10, (6 0 0); 2θ 49.23, I 12, (6 2 2); 2θ 62.37, I 7, (6 4 4); 2θ 64.39, I 30, (6 6 0); 2θ 65.89, I 15, (5 5 5); 2θ 75.94, I 22, (8 4 4); 2θ 77.33, I 9, (9 3 3)

Structure:
```
data_Tm3Si6Pd20
_cell_length_a 12.277
_cell_length_b 12.277
_cell_length_c 12.277
_cell_angle_alpha 90.00
_cell_angle_beta 90.00
_cell_angle_gamma 90.00
_space_group_name_H-M_alt 'F m -3 m'
_space_group_IT_number 225
_space_group_name_Hall '-F 4 2 3'
loop_
_atom_site_label
_atom_site_type_symbol
_atom_site_fract_x
_atom_site_fract_y
_atom_site_fract_z
Tm1 Tm 0.000 0.000 0.000
Tm2 Tm 0.250 0.250 0.250
Si1 Si 0.000 0.000 0.268
Pd1 Pd 0.000 0.172 0.172
Pd2 Pd 0.118 0.118 0.382
```

---

# 3
Structure and computed PXRD pattern of U3Si6Pd20 (a crystal structure in the Materials Project, relaxed with GGA-PBE; Cu Kα (λ = 1.5418 Å)).
Intensities are scaled so that the largest is 100.

The 12 most intense peaks (10° ≤ 2θ ≤ 80°), low angle first:
2θ 20.27, I 9, (2 2 0); 2θ 32.31, I 26, (4 2 0); 2θ 35.49, I 53, (4 2 2); 2θ 37.72, I 100, (3 3 3); 2θ 41.21, I 41, (4 4 0); 2θ 43.19, I 15, (5 3 1); 2θ 46.34, I 9, (6 2 0); 2θ 48.74, I 13, (6 2 2); 2θ 63.72, I 36, (6 6 0); 2θ 65.19, I 16, (5 5 5); 2θ 75.11, I 24, (8 4 4); 2θ 76.48, I 10, (9 3 3)

Structure:
```
data_U3Si6Pd20
_cell_length_a 12.393
_cell_length_b 12.393
_cell_length_c 12.393
_cell_angle_alpha 90.00
_cell_angle_beta 90.00
_cell_angle_gamma 90.00
_space_group_name_H-M_alt 'F m -3 m'
_space_group_IT_number 225
_space_group_name_Hall '-F 4 2 3'
loop_
_atom_site_label
_atom_site_type_symbol
_atom_site_fract_x
_atom_site_fract_y
_atom_site_fract_z
U1 U 0.000 0.000 0.000
U2 U 0.250 0.250 0.250
Si1 Si 0.000 0.000 0.267
Pd1 Pd 0.000 0.173 0.173
Pd2 Pd 0.117 0.117 0.383
```

---

# 4
Structure and computed PXRD pattern of USiPd (a crystal structure in the Materials Project, relaxed with GGA-PBE; Cu Kα (λ = 1.5418 Å)).
Intensities are scaled so that the largest is 100.

The 12 most intense peaks (10° ≤ 2θ ≤ 80°), low angle first:
2θ 24.34, I 38, (0 1 1); 2θ 25.21, I 23, (2 0 0); 2θ 34.49, I 100, (1 1 2); 2θ 34.85, I 23, (2 0 2); 2θ 35.32, I 94, (2 1 1); 2θ 38.11, I 38, (1 0 3); 2θ 40.12, I 27, (3 0 1); 2θ 43.22, I 31, (0 2 0); 2θ 57.98, I 20, (4 1 1); 2θ 58.96, I 22, (1 2 3); 2θ 60.43, I 17, (3 2 1); 2θ 67.59, I 27, (3 1 4)

Structure:
```
data_USiPd
_cell_length_a 7.066
_cell_length_b 4.187
_cell_length_c 7.516
_cell_angle_alpha 90.00
_cell_angle_beta 90.00
_cell_angle_gamma 90.00
_space_group_name_H-M_alt 'P n m a'
_space_group_IT_number 62
loop_
_space_group_symop_operation_xyz
'x,y,z'
'-x,-y,-z'
'-x+1/2,-y,z+1/2'
'x+1/2,y,-z+1/2'
'x+1/2,-y+1/2,-z+1/2'
'-x+1/2,y+1/2,z+1/2'
'-x,y+1/2,-z'
'x,-y+1/2,z'
loop_
_atom_site_label
_atom_site_type_symbol
_atom_site_fract_x
_atom_site_fract_y
_atom_site_fract_z
U1 U 0.006 0.250 0.173
Si1 Si 0.210 0.750 0.387
Pd1 Pd 0.161 0.250 0.570
```